Starting from a crystal structure in the Materials Project, relaxed with PBE+U, the XRD peak list of La2TiCoO6 was calculated for Cu Kα (weighted mean of Kα1 and Kα2).
No peak broadening, texture or thermal motion is included.

Crystal structure
```
data_La2TiCoO6
_chemical_formula_sum 'La8 Ti4 Co4 O24'
_space_group_name_H-M_alt 'P -1'
_space_group_IT_number 2
_cell_length_a 5.6962
_cell_length_b 9.6965
_cell_length_c 9.6969
_cell_angle_alpha 109.75
_cell_angle_beta 90.04
_cell_angle_gamma 90.04
loop_
_space_group_symop_operation_xyz
'x,y,z'
'-x,-y,-z'
loop_
_atom_site_label
_atom_site_fract_x
_atom_site_fract_y
_atom_site_fract_z
La1 0.0463 0.1199 0.3706
La2 0.0472 0.6181 0.8697
La3 0.4535 0.6192 0.3699
La4 0.4543 0.1202 0.8711
Ti1 0.0002 0.2496 0.7505
Ti2 0.5001 0.2497 0.2502
Co1 0.0000 0.0000 0.0000
Co2 0.0000 0.5000 0.5000
Co3 0.5000 0.0000 0.5000
Co4 0.5000 0.5000 0.0000
O1 0.0250 0.1728 0.9146
O2 0.0250 0.6726 0.4135
O3 0.2002 0.0866 0.6309
O4 0.2005 0.5870 0.1306
O5 0.2168 0.8725 0.8250
O6 0.2176 0.3732 0.3252
O7 0.2825 0.3730 0.8251
O8 0.2823 0.8733 0.3250
O9 0.2992 0.5865 0.6303
O10 0.3011 0.0861 0.1302
O11 0.4752 0.1728 0.4144
O12 0.4751 0.6719 0.9134
```

Top 10 peaks for 10 to 90 degrees two-theta, most intense first:
- (1 3 -1), 2θ = 31.8°, rel. 100
- (0 2 -6), 2θ = 57.0°, rel. 34
- (2 2 2), 2θ = 45.5°, rel. 25
- (0 2 2), 2θ = 32.1°, rel. 24
- (2 0 0), 2θ = 31.4°, rel. 22
- (1 1 1), 2θ = 22.3°, rel. 16
- (0 4 -4), 2θ = 45.8°, rel. 15
- (2 6 -2), 2θ = 66.5°, rel. 13
- (3 3 -1), 2θ = 56.2°, rel. 12
- (0 4 0), 2θ = 39.5°, rel. 12